# Th2Zn9Ga3
Calculated powder diffraction line list, Cu Ka. Input: the PBE geometry in Alexandria.

Peak list (10 most intense, 10° ≤ 2θ ≤ 80°, by angle)
d/Å, intensity
3.668, 27.2
3.006, 21.8
2.766, 27.1
2.515, 19.6
2.416, 100.0
2.407, 40.5
2.323, 31.7
2.298, 69.1
2.274, 40.0
2.255, 28.5

Structure:
a = 13.939 Å, b = 7.933 Å, c = 9.085 Å
α = 90.00°, β = 90.00°, γ = 90.00°
Space group Cmcm (No. 63)
Symmetry-distinct sites (fractional):
Th (0.161, 0.162, 0.250) (multiplicity 8)
Zn (0.000, 0.152, 0.750) (multiplicity 4)
Zn (0.000, 0.340, 0.055) (multiplicity 8)
Zn (0.093, 0.456, 0.750) (multiplicity 8)
Zn (0.155, 0.189, 0.596) (multiplicity 16)
Ga (0.000, 0.000, 0.000) (multiplicity 4)
Ga (0.192, 0.500, 0.000) (multiplicity 8)

# ThZnGa
Calculated powder diffraction line list, Cu Ka. Input: the PBE geometry in Alexandria.

Peak list (10 most intense, 10° ≤ 2θ ≤ 80°, by angle)
d/Å, intensity
3.738, 13.5
3.231, 41.6
2.784, 100.0
2.444, 48.6
2.121, 36.0
1.908, 23.5
1.773, 15.5
1.602, 26.7
1.419, 17.8
1.321, 20.4

Structure:
a = 4.243 Å, b = 4.243 Å, c = 14.953 Å
α = 90.00°, β = 90.00°, γ = 90.00°
Space group I-4m2 (No. 119)
Symmetry-distinct sites (fractional):
Th (0.000, 0.000, 0.000) (multiplicity 2)
Th (0.000, 0.500, 0.250) (multiplicity 2)
Zn (0.000, 0.500, 0.668) (multiplicity 4)
Ga (0.000, 0.000, 0.416) (multiplicity 4)

# ThZnGa5
Calculated powder diffraction line list, Cu Ka. Input: the PBE geometry in Alexandria.

Peak list (10 most intense, 10° ≤ 2θ ≤ 80°, by angle)
d/Å, intensity
6.944, 15.1
4.541, 36.1
2.915, 51.4
2.758, 21.0
2.357, 100.0
2.315, 14.8
2.271, 54.8
1.621, 24.0
1.606, 18.4
1.327, 31.8

Structure:
a = 4.541 Å, b = 4.541 Å, c = 6.944 Å
α = 90.00°, β = 90.00°, γ = 90.00°
Space group P4/mmm (No. 123)
Symmetry-distinct sites (fractional):
Th (0.000, 0.000, 0.000) (multiplicity 1)
Zn (0.000, 0.000, 0.500) (multiplicity 1)
Ga (0.000, 0.500, 0.303) (multiplicity 4)
Ga (0.500, 0.500, 0.000) (multiplicity 1)

# Th4ZnGa
Calculated powder diffraction line list, Cu Ka. Input: the PBE geometry in Alexandria.

Peak list (10 most intense, 10° ≤ 2θ ≤ 80°, by angle)
d/Å, intensity
2.917, 100.0
2.807, 13.5
2.491, 11.7
2.414, 25.1
2.262, 13.9
1.759, 15.8
1.641, 19.0
1.579, 9.6
1.515, 16.0
1.375, 14.0

Structure:
a = 7.635 Å, b = 7.635 Å, c = 5.615 Å
α = 90.00°, β = 90.00°, γ = 90.00°
Space group P4/mcc (No. 124)
Symmetry-distinct sites (fractional):
Th (0.158, 0.341, 0.000) (multiplicity 8)
Zn (0.500, 0.500, 0.250) (multiplicity 2)
Ga (0.000, 0.000, 0.250) (multiplicity 2)

# Th2Zr3Ga4
Calculated powder diffraction line list, Cu Ka. Input: the PBE geometry in Alexandria.

Peak list (10 most intense, 10° ≤ 2θ ≤ 80°, by angle)
d/Å, intensity
2.896, 54.2
2.765, 65.5
2.689, 100.0
2.601, 69.5
2.527, 37.4
2.507, 70.5
2.473, 37.1
1.901, 30.8
1.717, 26.5
1.634, 31.8

Structure:
a = 6.312 Å, b = 15.930 Å, c = 8.256 Å
α = 90.00°, β = 90.00°, γ = 90.00°
Space group Cmce (No. 64)
Symmetry-distinct sites (fractional):
Th (0.000, 0.113, 0.091) (multiplicity 8)
Zr (0.000, 0.000, 0.500) (multiplicity 4)
Zr (0.250, 0.209, 0.750) (multiplicity 8)
Ga (0.000, 0.182, 0.448) (multiplicity 8)
Ga (0.250, 0.037, 0.750) (multiplicity 8)

# Ti6Ga5
Calculated powder diffraction line list, Cu Ka. Input: the PBE geometry in Alexandria.

Peak list (10 most intense, 10° ≤ 2θ ≤ 80°, by angle)
d/Å, intensity
6.332, 6.3
2.265, 100.0
2.051, 18.3
2.007, 17.3
1.846, 12.6
1.434, 10.7
1.372, 8.8
1.359, 8.6
1.221, 11.9
1.203, 11.6

Structure:
a = 4.014 Å, b = 7.385 Å, c = 12.307 Å
α = 90.00°, β = 90.00°, γ = 90.00°
Space group Immm (No. 71)
Symmetry-distinct sites (fractional):
Ti (0.000, 0.231, 0.000) (multiplicity 4)
Ti (0.000, 0.257, 0.335) (multiplicity 8)
Ga (0.000, 0.000, 0.170) (multiplicity 4)
Ga (0.000, 0.000, 0.500) (multiplicity 2)
Ga (0.000, 0.500, 0.162) (multiplicity 4)

# Ti7Ga4
Calculated powder diffraction line list, Cu Ka. Input: the PBE geometry in Alexandria.

Peak list (10 most intense, 10° ≤ 2θ ≤ 80°, by angle)
d/Å, intensity
3.674, 31.3
2.465, 40.5
2.449, 20.9
2.337, 89.4
2.121, 100.0
2.047, 56.7
1.904, 18.4
1.571, 14.7
1.514, 13.9
1.232, 30.7

Structure:
a = 8.4845 Å, b = 8.4845 Å, c = 3.0284 Å
α = 90.00°, β = 90.00°, γ = 120.00°
Space group P-6m2 (No. 187)
Symmetry-distinct sites (fractional):
Ti (0.0000, 0.0000, 0.0000) (multiplicity 1)
Ti (0.1910, 0.3821, 0.5000) (multiplicity 3)
Ti (0.5256, 0.0513, 0.0000) (multiplicity 3)
Ga (0.3238, 0.1619, 0.5000) (multiplicity 3)
Ga (0.3333, 0.6667, 0.0000) (multiplicity 1)

# Ti5Ga
Calculated powder diffraction line list, Cu Ka. Input: the PBE geometry in Alexandria.

Peak list (10 most intense, 10° ≤ 2θ ≤ 80°, by angle)
d/Å, intensity
4.334, 4.4
2.502, 25.2
2.321, 26.3
2.203, 100.0
1.702, 14.4
1.445, 15.3
1.316, 16.6
1.251, 2.3
1.226, 16.9
1.208, 12.0

Structure:
a = 5.0047 Å, b = 5.0047 Å, c = 4.6414 Å
α = 90.00°, β = 90.00°, γ = 120.00°
Space group P-62m (No. 189)
Symmetry-distinct sites (fractional):
Ti (0.0000, 0.6805, 0.0000) (multiplicity 3)
Ti (0.3333, 0.6667, 0.5000) (multiplicity 2)
Ga (0.0000, 0.0000, 0.5000) (multiplicity 1)